Diffraction record for Ho5Tm2Cd. The powder diffractogram is computed, not measured: it uses DFT lattice parameters and positions (PBE) and λ = 1.5418 Å (Cu Kα).
Neutral-atom scattering factors, no anomalous dispersion.

Principal peaks in the range 15° ≤ 2θ ≤ 90°, by intensity:
two_theta	d (Å)	Rel. int.
33.1	2.710	1000
31.4	2.846	589
57.0	1.616	342
45.1	2.012	197
60.1	1.541	136
35.6	2.520	81
69.4	1.355	78
55.8	1.648	71
27.6	3.231	70
49.8	1.832	68

Cell and atoms:
```
Ho5Tm2Cd
1.0
8.049 0.000 0.000
0.000 8.049 0.000
0.000 0.000 7.329
Ho Tm Cd
10 4 2
Direct
0.000 0.000 0.000
0.225 0.225 0.313
0.225 0.775 0.313
0.275 0.275 0.813
0.275 0.725 0.813
0.500 0.500 0.500
0.725 0.275 0.813
0.725 0.725 0.813
0.775 0.225 0.313
0.775 0.775 0.313
0.000 0.500 0.068
0.000 0.500 0.568
0.500 0.000 0.068
0.500 0.000 0.568
0.000 0.000 0.578
0.500 0.500 0.078
```



Diffraction record for Ho3Tm3Cd2. The powder diffractogram is computed, not measured: it uses DFT lattice parameters and positions (PBE) and λ = 1.5418 Å (Cu Kα).
Neutral-atom scattering factors, no anomalous dispersion.

Principal peaks in the range 15° ≤ 2θ ≤ 90°, by intensity:
two_theta	d (Å)	Rel. int.
29.7	3.006	1000
33.8	2.650	937
34.9	2.574	660
34.4	2.605	599
31.2	2.863	410
61.8	1.500	314
31.6	2.830	285
33.2	2.700	227
59.4	1.557	221
48.9	1.863	210

Cell and atoms:
```
Ho3Tm3Cd2
1.0
2.574 -5.755 0.000
2.574 5.755 0.000
0.000 0.000 15.644
Ho Tm Cd
6 6 4
Direct
0.042 0.958 0.604
0.042 0.958 0.896
0.263 0.737 0.750
0.737 0.263 0.250
0.958 0.042 0.104
0.958 0.042 0.396
0.355 0.645 0.534
0.355 0.645 0.966
0.453 0.547 0.250
0.547 0.453 0.750
0.645 0.355 0.034
0.645 0.355 0.466
0.230 0.770 0.136
0.230 0.770 0.364
0.770 0.230 0.636
0.770 0.230 0.864
```